Record 1
Calculated XRD peak list
Compound: Tb4Ho10Zr
Radiation: Cu Kα (weighted mean of Kα1 and Kα2)
Structure: the GGA-PBE geometry in Alexandria

The 6 most intense peaks (2θ from 10° to 90°), by intensity:
32.2 deg, intensity 100, hkl 4 0 0; 32.5 deg, intensity 96, hkl 2 2 2; 28.1 deg, intensity 65, hkl 2 0 2; 41.6 deg, intensity 49, hkl 3 3 2; 31.2 deg, intensity 41, hkl 3 2 1; 34.5 deg, intensity 38, hkl 3 1 2

Structural model:
Unit cell a=11.1351 b=11.1351 c=7.7202 alpha=90.00 beta=90.00 gamma=90.00
Space group I4/mmm (No. 139)
Symmetry-distinct sites (fractional):
1 Tb 0.2277 0.2277 0.0000
2 Ho 0.0000 0.2074 0.2884
3 Ho 0.0000 0.5000 0.2500
4 Zr 0.0000 0.0000 0.0000

=====

Record 2
Calculated XRD peak list
Compound: TbCd6Pb
Radiation: Cu Kα (weighted mean of Kα1 and Kα2)
Structure: the GGA-PBE geometry in Alexandria

The 6 most intense peaks (2θ from 10° to 90°), by intensity:
34.3 deg, intensity 100, hkl 1 2 2; 33.6 deg, intensity 28, hkl 1 1 3; 36.8 deg, intensity 28, hkl 2 0 0; 34.1 deg, intensity 19, hkl 0 0 4; 64.6 deg, intensity 15, hkl 3 2 2; 51.0 deg, intensity 12, hkl 2 0 4

Structural model:
Unit cell a=4.8904 b=7.6385 c=10.5175 alpha=90.00 beta=90.00 gamma=90.00
Space group Amm2 (No. 38)
Symmetry-distinct sites (fractional):
1 Tb 0.0000 0.0000 0.0000
2 Cd 0.0000 0.0000 0.4504
3 Cd 0.0000 0.2029 0.7195
4 Cd 0.5000 0.0000 0.8065
5 Cd 0.5000 0.2077 0.5135
6 Pb 0.5000 0.0000 0.2309

=====

Record 3
Calculated XRD peak list
Compound: CuTcMoRu
Radiation: Cu Kα (weighted mean of Kα1 and Kα2)
Structure: the GGA-PBE geometry in Alexandria

The 6 most intense peaks (2θ from 10° to 90°), by intensity:
41.8 deg, intensity 100, hkl 2 2 0; 76.4 deg, intensity 32, hkl 4 2 2; 60.6 deg, intensity 16, hkl 4 0 0; 25.3 deg, intensity 2, hkl 1 1 1; 29.2 deg, intensity 1, hkl 2 0 0; 49.5 deg, intensity 1, hkl 3 1 1

Structural model:
Unit cell a=6.1076 b=6.1076 c=6.1076 alpha=90.00 beta=90.00 gamma=90.00
Space group F-43m (No. 216)
Symmetry-distinct sites (fractional):
1 Cu 0.0000 0.0000 0.0000
2 Tc 0.2500 0.2500 0.7500
3 Mo 0.0000 0.0000 0.5000
4 Ru 0.2500 0.2500 0.2500

=====

Please write out number 2 again, unchanged.
Calculated XRD peak list
Compound: TbCd6Pb
Radiation: Cu Kα (weighted mean of Kα1 and Kα2)
Structure: the GGA-PBE geometry in Alexandria

The 6 most intense peaks (2θ from 10° to 90°), by intensity:
34.3 deg, intensity 100, hkl 1 2 2; 33.6 deg, intensity 28, hkl 1 1 3; 36.8 deg, intensity 28, hkl 2 0 0; 34.1 deg, intensity 19, hkl 0 0 4; 64.6 deg, intensity 15, hkl 3 2 2; 51.0 deg, intensity 12, hkl 2 0 4

Structural model:
Unit cell a=4.8904 b=7.6385 c=10.5175 alpha=90.00 beta=90.00 gamma=90.00
Space group Amm2 (No. 38)
Symmetry-distinct sites (fractional):
1 Tb 0.0000 0.0000 0.0000
2 Cd 0.0000 0.0000 0.4504
3 Cd 0.0000 0.2029 0.7195
4 Cd 0.5000 0.0000 0.8065
5 Cd 0.5000 0.2077 0.5135
6 Pb 0.5000 0.0000 0.2309

=====

Please write out number 2 again, unchanged.
Calculated XRD peak list
Compound: TbCd6Pb
Radiation: Cu Kα (weighted mean of Kα1 and Kα2)
Structure: the GGA-PBE geometry in Alexandria

The 6 most intense peaks (2θ from 10° to 90°), by intensity:
34.3 deg, intensity 100, hkl 1 2 2; 33.6 deg, intensity 28, hkl 1 1 3; 36.8 deg, intensity 28, hkl 2 0 0; 34.1 deg, intensity 19, hkl 0 0 4; 64.6 deg, intensity 15, hkl 3 2 2; 51.0 deg, intensity 12, hkl 2 0 4

Structural model:
Unit cell a=4.8904 b=7.6385 c=10.5175 alpha=90.00 beta=90.00 gamma=90.00
Space group Amm2 (No. 38)
Symmetry-distinct sites (fractional):
1 Tb 0.0000 0.0000 0.0000
2 Cd 0.0000 0.0000 0.4504
3 Cd 0.0000 0.2029 0.7195
4 Cd 0.5000 0.0000 0.8065
5 Cd 0.5000 0.2077 0.5135
6 Pb 0.5000 0.0000 0.2309